The following is a computed XRD peak list of MgCd2In. It was derived from a DFT-relaxed cell (GGA-PBE, Alexandria), using Cu Kα (weighted mean of Kα1 and Kα2).
Peak positions follow from Bragg's law for the DFT cell and can differ from measured ones.

Structure:
abc: 3.2525 3.2525 8.7236
angles: 90.00 90.00 90.00
Space group P4mm (No. 99)
Inequivalent atoms, fractional coordinates:
Mg 0.0000 0.0000 0.0000 x1
Cd 0.0000 0.0000 0.4816 x1
Cd 0.5000 0.5000 0.2338 x1
In 0.5000 0.5000 0.7473 x1

Largest 12 diffraction maxima, by intensity, 2θ = 10–90°:
- 2θ 34.40, I = 100, hkl 1 0 2
- 2θ 39.17, I = 35, hkl 1 1 0
- 2θ 67.93, I = 26, hkl 2 1 2
- 2θ 58.31, I = 20, hkl 1 1 4
- 2θ 10.14, I = 19, hkl 0 0 1
- 2θ 41.40, I = 14, hkl 0 0 4
- 2θ 56.60, I = 11, hkl 2 0 0
- 2θ 29.31, I = 11, hkl 1 0 1
- 2θ 71.01, I = 10, hkl 1 0 6
- 2θ 72.50, I = 10, hkl 2 0 4
- 2θ 20.36, I = 6, hkl 0 0 2
- 2θ 27.42, I = 5, hkl 1 0 0